Starting from a DFT-relaxed cell (GGA+U, OQMD), the powder diffraction line list of Zn2Co2O5 was computed for Cu Kα (weighted mean of Kα1 and Kα2).
Peak positions follow from Bragg's law for the DFT cell and can differ from measured ones.

Atomic structure:
abc: 3.587 3.587 7.380
angles: 90.00 90.00 90.00
Space group P4/mmm (No. 123)
Unique sites:
Zn1 0.000 0.000 0.000 x1
Zn2 0.000 0.000 0.500 x1
Co1 0.500 0.500 0.234 x2
O1 0.000 0.500 0.183 x4
O2 0.500 0.500 0.500 x1

Peak list (10 most intense, 10 to 90 degrees two-theta, by angle)
(1 0 2), 34.88 deg, I = 100.0
(1 1 0), 35.39 deg, I = 36.9
(0 0 4), 49.40 deg, I = 10.3
(2 0 0), 50.91 deg, I = 30.6
(1 1 4), 62.22 deg, I = 21.0
(2 1 2), 63.20 deg, I = 33.0
(2 0 4), 73.66 deg, I = 11.3
(2 2 0), 74.87 deg, I = 8.3
(1 0 6), 82.99 deg, I = 6.2
(3 0 2), 85.33 deg, I = 6.8